# ZnW2O6
Calculated powder X-ray diffraction pattern, CuKα. Input: a crystal structure in Alexandria, relaxed with PBE+U.
Kinematic intensities with the Lorentz-polarization factor, no thermal factor.

Principal peaks in the range 2θ = 10–90°, by angle:
hkl 2 0 0, 23.02 deg, intensity 38; hkl 0 1 1, 23.56 deg, intensity 70; hkl 2 1 1, 33.17 deg, intensity 100; hkl 0 0 2, 33.47 deg, intensity 25; hkl 0 2 0, 33.65 deg, intensity 24; hkl 2 1 3, 59.64 deg, intensity 24

Structure:
```
data_ZnW2O6
_symmetry_space_group_name_H-M 'P m n 21'
_symmetry_Int_Tables_number 31
_symmetry_space_group_name_Hall 'P 2ac -2'
_cell_length_a 7.728
_cell_length_b 5.327
_cell_length_c 5.355
_cell_angle_alpha 90.00
_cell_angle_beta 90.00
_cell_angle_gamma 90.00
loop_
_atom_site_label
_atom_site_type_symbol
_atom_site_fract_x
_atom_site_fract_y
_atom_site_fract_z
Zn1 Zn 0.000 0.214 0.000
W1 W 0.248 0.250 0.495
O1 O 0.000 0.295 0.370
O2 O 0.000 0.821 0.074
O3 O 0.189 0.432 0.829
O4 O 0.204 0.951 0.685
```

---

# NiSbF5
Calculated powder X-ray diffraction pattern, CuKα. Input: a crystal structure in Alexandria, relaxed with PBE+U.
Kinematic intensities with the Lorentz-polarization factor, no thermal factor.

Principal peaks in the range 2θ = 10–90°, by angle:
hkl 1 0 0, 18.22 deg, intensity 93; hkl 1 0 1, 19.79 deg, intensity 75; hkl 0 1 -1, 21.96 deg, intensity 52; hkl 1 -1 0, 27.42 deg, intensity 53; hkl 1 1 -1, 27.73 deg, intensity 72; hkl 0 1 2, 27.94 deg, intensity 100

Structure:
```
data_NiSbF5
_symmetry_space_group_name_H-M 'P -1'
_symmetry_Int_Tables_number 2
_symmetry_space_group_name_Hall '-P 1'
_cell_length_a 5.233
_cell_length_b 5.842
_cell_length_c 7.387
_cell_angle_alpha 77.29
_cell_angle_beta 74.40
_cell_angle_gamma 72.40
loop_
_atom_site_label
_atom_site_type_symbol
_atom_site_fract_x
_atom_site_fract_y
_atom_site_fract_z
Ni1 Ni 0.000 0.000 0.000
Ni2 Ni 0.500 0.000 0.500
Sb1 Sb 0.104 0.601 0.715
F1 F 0.135 0.646 0.115
F2 F 0.189 0.154 0.135
F3 F 0.190 0.310 0.444
F4 F 0.291 0.918 0.767
F5 F 0.297 0.789 0.452
```

---

Please write out number 2 again, unchanged.
# NiSbF5
Calculated powder X-ray diffraction pattern, CuKα. Input: a crystal structure in Alexandria, relaxed with PBE+U.
Kinematic intensities with the Lorentz-polarization factor, no thermal factor.

Principal peaks in the range 2θ = 10–90°, by angle:
hkl 1 0 0, 18.22 deg, intensity 93; hkl 1 0 1, 19.79 deg, intensity 75; hkl 0 1 -1, 21.96 deg, intensity 52; hkl 1 -1 0, 27.42 deg, intensity 53; hkl 1 1 -1, 27.73 deg, intensity 72; hkl 0 1 2, 27.94 deg, intensity 100

Structure:
```
data_NiSbF5
_symmetry_space_group_name_H-M 'P -1'
_symmetry_Int_Tables_number 2
_symmetry_space_group_name_Hall '-P 1'
_cell_length_a 5.233
_cell_length_b 5.842
_cell_length_c 7.387
_cell_angle_alpha 77.29
_cell_angle_beta 74.40
_cell_angle_gamma 72.40
loop_
_atom_site_label
_atom_site_type_symbol
_atom_site_fract_x
_atom_site_fract_y
_atom_site_fract_z
Ni1 Ni 0.000 0.000 0.000
Ni2 Ni 0.500 0.000 0.500
Sb1 Sb 0.104 0.601 0.715
F1 F 0.135 0.646 0.115
F2 F 0.189 0.154 0.135
F3 F 0.190 0.310 0.444
F4 F 0.291 0.918 0.767
F5 F 0.297 0.789 0.452
```